This entry pairs a crystal structure of Pr5Th2Mg with its simulated powder diffractogram. Radiation: λ = 1.5418 Å (Cu Kα). Structure: a PBE-relaxed structure.
Lines closer than 0.1° are merged.

Main lines, most intense first (2θ from 10° to 90°):
hkl 0 2 4, d 2.906, 2θ = 30.77°, I = 100
hkl 0 4 0, d 2.883, 2θ = 31.02°, I = 50
hkl 1 2 1, d 2.917, 2θ = 30.65°, I = 47
hkl 1 0 3, d 2.756, 2θ = 32.48°, I = 33
hkl 1 1 0, d 3.344, 2θ = 26.66°, I = 30
hkl 2 2 4, d 1.497, 2θ = 61.98°, I = 29
hkl 1 1 4, d 2.372, 2θ = 37.94°, I = 28
hkl 0 0 2, d 6.728, 2θ = 13.16°, I = 25
hkl 1 4 3, d 1.992, 2θ = 45.53°, I = 25
hkl 1 3 0, d 2.585, 2θ = 34.70°, I = 23

Structure:
```
data_Pr5Th2Mg
_chemical_formula_sum 'Pr10 Th4 Mg2'
_space_group_name_H-M_alt 'I m m m'
_space_group_IT_number 71
_space_group_name_Hall '-I 2 2'
_cell_length_a 3.4937
_cell_length_b 11.5305
_cell_length_c 13.4567
_cell_angle_alpha 90.00
_cell_angle_beta 90.00
_cell_angle_gamma 90.00
loop_
_atom_site_label
_atom_site_fract_x
_atom_site_fract_y
_atom_site_fract_z
_atom_site_occupancy
Pr1 0.0000 0.0000 0.0000 1
Pr2 0.0000 0.2583 0.3697 1
Th1 0.0000 0.0000 0.2620 1
Mg1 0.0000 0.5000 0.0000 1
```



This entry pairs a crystal structure of Pr2Mg12Tl7 with its simulated powder diffractogram. Radiation: λ = 1.5418 Å (Cu Kα). Structure: a PBE-relaxed structure.
Lines closer than 0.1° are merged.

Main lines, most intense first (2θ from 10° to 90°):
hkl 2 1 0, d 3.826, 2θ = 23.25°, I = 100
hkl 1 4 0, d 2.208, 2θ = 40.86°, I = 75
hkl 3 -1 1, d 2.921, 2θ = 30.61°, I = 72
hkl 0 2 1, d 3.372, 2θ = 26.43°, I = 60
hkl 4 -3 1, d 2.385, 2θ = 37.72°, I = 39
hkl 1 1 1, d 3.576, 2θ = 24.90°, I = 36
hkl 3 2 1, d 2.065, 2θ = 43.83°, I = 30
hkl 1 4 2, d 1.580, 2θ = 58.41°, I = 28
hkl 3 0 1, d 2.704, 2θ = 33.13°, I = 24
hkl 7 -6 1, d 1.460, 2θ = 63.72°, I = 23

Structure:
```
data_Pr2Mg12Tl7
_chemical_formula_sum 'Pr2 Mg12 Tl7'
_space_group_name_H-M_alt 'P -3'
_space_group_IT_number 147
_cell_length_a 11.6877
_cell_length_b 11.6877
_cell_length_c 4.5217
_cell_angle_alpha 90.00
_cell_angle_beta 90.00
_cell_angle_gamma 120.00
loop_
_space_group_symop_operation_xyz
'x,y,z'
'-x,-y,-z'
'-y,x-y,z'
'y,-x+y,-z'
'-x+y,-x,z'
'x-y,x,-z'
loop_
_atom_site_label
_atom_site_fract_x
_atom_site_fract_y
_atom_site_fract_z
_atom_site_occupancy
Pr1 0.3333 0.6667 0.2649 1
Mg1 0.0395 0.4285 0.7498 1
Mg2 0.1076 0.2673 0.2471 1
Tl1 0.0000 0.0000 0.5000 1
Tl2 0.1396 0.7124 0.7537 1
```



This entry pairs a crystal structure of PrMgTl2 with its simulated powder diffractogram. Radiation: λ = 1.5418 Å (Cu Kα). Structure: a PBE-relaxed structure.
Lines closer than 0.1° are merged.

Main lines, most intense first (2θ from 10° to 90°):
hkl 2 2 0, d 2.687, 2θ = 33.35°, I = 100
hkl 4 2 2, d 1.551, 2θ = 59.60°, I = 38
hkl 2 0 0, d 3.800, 2θ = 23.41°, I = 20
hkl 4 0 0, d 1.900, 2θ = 47.88°, I = 18
hkl 6 2 0, d 1.202, 2θ = 79.82°, I = 17
hkl 4 4 0, d 1.343, 2θ = 70.04°, I = 12
hkl 1 1 1, d 4.388, 2θ = 20.24°, I = 10
hkl 4 2 0, d 1.699, 2θ = 53.96°, I = 9
hkl 2 2 2, d 2.194, 2θ = 41.15°, I = 6
hkl 3 1 1, d 2.291, 2θ = 39.32°, I = 5

Structure:
```
data_PrMgTl2
_chemical_formula_sum 'Pr4 Mg4 Tl8'
_space_group_name_H-M_alt 'F m -3 m'
_space_group_IT_number 225
_space_group_name_Hall '-F 4 2 3'
_cell_length_a 7.5996
_cell_length_b 7.5996
_cell_length_c 7.5996
_cell_angle_alpha 90.00
_cell_angle_beta 90.00
_cell_angle_gamma 90.00
loop_
_atom_site_label
_atom_site_fract_x
_atom_site_fract_y
_atom_site_fract_z
_atom_site_occupancy
Pr1 0.0000 0.0000 0.0000 1
Mg1 0.0000 0.0000 0.5000 1
Tl1 0.2500 0.2500 0.2500 1
```